For YIn6Cu6, a DFT-relaxed cell (PBE, the Materials Project) gives the computed powder diffraction line list in this record (a wavelength of 1.5418 Å).

The 8 most intense peaks (10 to 80 degrees two-theta), in order of rising 2θ:
2θ = 32.20°, I = 36.0
2θ = 33.42°, I = 62.8
2θ = 37.88°, I = 64.2
2θ = 39.01°, I = 100.0
2θ = 39.55°, I = 32.9
2θ = 42.90°, I = 69.2
2θ = 44.18°, I = 26.4
2θ = 71.37°, I = 25.6

Structure:
Cell: 7.0404 7.0404 7.0404 Å, 133.48 99.32 98.62°
Atoms (fractional coordinates):
Y: 0.0000 0.0000 0.0000
In: 0.1817 0.6817 0.5000
In: 0.3377 0.0000 0.3377
In: 0.3414 0.3414 0.0000
In: 0.6586 0.6586 0.0000
In: 0.6623 0.0000 0.6623
In: 0.8183 0.3183 0.5000
Cu: 0.0000 0.0000 0.5000
Cu: 0.0000 0.5000 0.0000
Cu: 0.2381 0.5000 0.7381
Cu: 0.5000 0.0000 0.0000
Cu: 0.5000 0.5000 0.5000
Cu: 0.7619 0.5000 0.2619